Entry 1:
Li3Fe8B8O24: computed powder diffraction line list (CuKα), based on a DFT-relaxed cell (GGA+U, the Materials Project).
Peak positions follow from Bragg's law for the DFT cell and can differ from measured ones.

The 6 most intense peaks (2θ from 5° to 70°), sorted by position:
d (Å)  I_rel
4.514  83
4.157  50
4.122  84
3.417  76
2.608  37
2.510  100

Atomic structure:
```
Li3Fe8B8O24
1.0
5.316 0.000 0.000
-0.084 9.027 0.000
-0.230 -0.090 10.040
Li Fe B O
3 8 8 24
direct
0.000 0.000 0.000 Li
0.187 0.489 0.262 Li
0.495 0.497 0.993 Li
0.006 0.338 0.530 Fe
0.179 0.158 0.278 Fe
0.184 0.832 0.774 Fe
0.508 0.833 0.532 Fe
0.510 0.154 0.028 Fe
0.683 0.330 0.769 Fe
0.683 0.668 0.280 Fe
0.996 0.656 0.023 Fe
0.009 0.328 0.033 B
0.019 0.671 0.524 B
0.177 0.168 0.783 B
0.178 0.823 0.277 B
0.501 0.166 0.526 B
0.510 0.828 0.027 B
0.675 0.331 0.273 B
0.676 0.665 0.778 B
0.034 0.286 0.741 O
0.042 0.694 0.241 O
0.075 0.029 0.797 O
0.078 0.959 0.259 O
0.120 0.193 0.070 O
0.131 0.540 0.513 O
0.147 0.457 0.048 O
0.147 0.799 0.575 O
0.258 0.824 0.982 O
0.262 0.183 0.469 O
0.421 0.805 0.329 O
0.427 0.192 0.822 O
0.533 0.207 0.239 O
0.537 0.785 0.733 O
0.563 0.468 0.271 O
0.567 0.529 0.796 O
0.609 0.030 0.537 O
0.614 0.694 0.074 O
0.629 0.293 0.574 O
0.652 0.953 0.024 O
0.760 0.329 0.985 O
0.768 0.693 0.480 O
0.926 0.687 0.816 O
0.932 0.320 0.305 O
```

***

Entry 2:
RbV3O8: computed powder diffraction line list (CuKα), based on a DFT-relaxed cell (GGA+U, the Materials Project).
Peak positions follow from Bragg's law for the DFT cell and can differ from measured ones.

The 6 most intense peaks (2θ from 5° to 70°), sorted by position:
d (Å)  I_rel
8.101  30
3.673  43
3.436  27
3.306  100
3.197  20
2.966  33

Atomic structure:
```
RbV3O8
1.0
5.135 0.000 0.000
0.000 8.717 0.000
-1.275 0.000 8.101
Rb V O
2 6 16
direct
0.049 0.250 0.444 Rb
0.951 0.750 0.556 Rb
0.078 0.250 0.933 V
0.446 0.557 0.176 V
0.446 0.943 0.176 V
0.554 0.057 0.824 V
0.554 0.443 0.824 V
0.922 0.750 0.067 V
0.087 0.750 0.913 O
0.122 0.604 0.212 O
0.122 0.896 0.212 O
0.326 0.089 0.997 O
0.326 0.411 0.997 O
0.410 0.250 0.756 O
0.422 0.555 0.674 O
0.422 0.945 0.674 O
0.578 0.055 0.326 O
0.578 0.445 0.326 O
0.590 0.750 0.244 O
0.674 0.589 0.003 O
0.674 0.911 0.003 O
0.878 0.104 0.788 O
0.878 0.396 0.788 O
0.913 0.250 0.087 O
```

***

Entry 3:
MgV4Pb2O12: computed powder diffraction line list (CuKα), based on a DFT-relaxed cell (GGA+U, the Materials Project).
Peak positions follow from Bragg's law for the DFT cell and can differ from measured ones.

The 6 most intense peaks (2θ from 5° to 70°), sorted by position:
d (Å)  I_rel
6.994  47
4.746  68
3.820  81
3.268  100
2.981  93
2.765  33

Atomic structure:
```
MgV4Pb2O12
1.0
7.964 -1.834 0.000
7.964 1.834 0.000
-2.795 0.000 9.492
Mg V Pb O
1 4 2 12
direct
0.000 0.000 0.000 Mg
0.105 0.105 0.361 V
0.344 0.344 0.863 V
0.656 0.656 0.137 V
0.895 0.895 0.639 V
0.377 0.377 0.249 Pb
0.623 0.623 0.751 Pb
0.006 0.006 0.676 O
0.118 0.118 0.158 O
0.149 0.149 0.535 O
0.235 0.235 0.858 O
0.367 0.367 0.675 O
0.427 0.427 0.045 O
0.573 0.573 0.955 O
0.633 0.633 0.325 O
0.765 0.765 0.142 O
0.851 0.851 0.465 O
0.882 0.882 0.842 O
0.994 0.994 0.324 O
```

***

Entry 4:
V2NO: computed powder diffraction line list (CuKα), based on a DFT-relaxed cell (GGA+U, the Materials Project).
Peak positions follow from Bragg's law for the DFT cell and can differ from measured ones.

The 6 most intense peaks (2θ from 5° to 70°), sorted by position:
d (Å)  I_rel
2.530  91
2.436  5
2.199  48
2.186  100
1.551  54
1.546  28

Atomic structure:
```
V2NO
1.0
4.373 0.000 0.000
0.000 4.373 0.000
0.000 0.000 8.798
V N O
8 4 4
direct
0.000 0.250 0.114 V
0.000 0.250 0.636 V
0.000 0.750 0.364 V
0.000 0.750 0.886 V
0.500 0.250 0.386 V
0.500 0.250 0.864 V
0.500 0.750 0.136 V
0.500 0.750 0.614 V
0.000 0.250 0.875 N
0.000 0.750 0.125 N
0.500 0.250 0.625 N
0.500 0.750 0.375 N
0.000 0.250 0.375 O
0.000 0.750 0.625 O
0.500 0.250 0.125 O
0.500 0.750 0.875 O
```

***

Entry 5:
Sr2Ca2MnFe3O12: computed powder diffraction line list (CuKα), based on a DFT-relaxed cell (GGA+U, the Materials Project).
Peak positions follow from Bragg's law for the DFT cell and can differ from measured ones.

The 6 most intense peaks (2θ from 5° to 70°), sorted by position:
d (Å)  I_rel
2.738  100
2.236  10
1.938  29
1.934  14
1.581  37
1.369  24

Atomic structure:
```
Sr2Ca2MnFe3O12
1.0
7.750 0.000 0.000
0.000 7.735 0.000
0.000 0.000 7.750
Sr Ca Mn Fe O
4 4 2 6 24
direct
0.000 0.000 0.000 Sr
0.000 0.500 0.000 Sr
0.500 0.000 0.000 Sr
0.500 0.500 0.500 Sr
0.000 0.000 0.500 Ca
0.000 0.500 0.500 Ca
0.500 0.000 0.500 Ca
0.500 0.500 0.000 Ca
0.750 0.250 0.750 Mn
0.750 0.750 0.750 Mn
0.250 0.250 0.251 Fe
0.250 0.250 0.750 Fe
0.250 0.750 0.251 Fe
0.250 0.750 0.750 Fe
0.750 0.250 0.251 Fe
0.750 0.750 0.251 Fe
0.001 0.250 0.253 O
0.001 0.750 0.253 O
0.249 0.249 0.499 O
0.249 0.751 0.499 O
0.250 0.000 0.253 O
0.250 0.000 0.748 O
0.250 0.500 0.250 O
0.250 0.500 0.750 O
0.251 0.251 0.001 O
0.251 0.749 0.001 O
0.499 0.250 0.250 O
0.499 0.750 0.250 O
0.503 0.250 0.750 O
0.503 0.750 0.750 O
0.749 0.251 0.998 O
0.749 0.749 0.998 O
0.750 0.000 0.253 O
0.750 0.000 0.748 O
0.750 0.500 0.250 O
0.750 0.500 0.750 O
0.751 0.249 0.503 O
0.751 0.751 0.503 O
0.998 0.250 0.748 O
0.998 0.750 0.748 O
```

***

Entry 6:
Na2FeO2: computed powder diffraction line list (CuKα), based on a DFT-relaxed cell (GGA+U, the Materials Project).
Peak positions follow from Bragg's law for the DFT cell and can differ from measured ones.

The 6 most intense peaks (2θ from 5° to 70°), sorted by position:
d (Å)  I_rel
7.947  100
3.811  69
2.629  55
2.528  71
2.433  46
2.280  54

Atomic structure:
```
Na2FeO2
1.0
7.979 0.000 0.000
0.000 6.126 0.000
-0.514 0.000 5.747
Na Fe O
8 4 8
direct
0.019 0.244 0.006 Na
0.019 0.256 0.506 Na
0.332 0.646 0.927 Na
0.332 0.854 0.427 Na
0.668 0.146 0.573 Na
0.668 0.354 0.073 Na
0.981 0.744 0.494 Na
0.981 0.756 0.994 Na
0.359 0.118 0.844 Fe
0.359 0.382 0.344 Fe
0.641 0.618 0.656 Fe
0.641 0.882 0.156 Fe
0.147 0.531 0.255 O
0.147 0.969 0.755 O
0.448 0.119 0.201 O
0.448 0.381 0.701 O
0.552 0.619 0.299 O
0.552 0.881 0.799 O
0.853 0.031 0.245 O
0.853 0.469 0.745 O
```

***

Entry 7:
LiFeS2O8: computed powder diffraction line list (CuKα), based on a DFT-relaxed cell (GGA+U, the Materials Project).
Peak positions follow from Bragg's law for the DFT cell and can differ from measured ones.

The 6 most intense peaks (2θ from 5° to 70°), sorted by position:
d (Å)  I_rel
6.112  75
4.477  31
3.671  100
3.652  49
3.059  28
2.810  26

Atomic structure:
```
LiFeS2O8
1.0
8.367 0.000 0.000
4.172 7.271 0.000
4.134 2.399 7.559
Li Fe S O
3 3 6 24
direct
0.000 0.000 0.000 Li
0.013 0.622 0.085 Li
0.612 0.257 0.084 Li
0.188 0.191 0.400 Fe
0.476 0.486 0.525 Fe
0.680 0.703 0.897 Fe
0.086 0.798 0.708 S
0.297 0.592 0.206 S
0.368 0.099 0.708 S
0.583 0.877 0.204 S
0.788 0.385 0.708 S
0.870 0.312 0.207 S
0.065 0.223 0.230 O
0.110 0.804 0.857 O
0.132 0.952 0.542 O
0.171 0.789 0.156 O
0.185 0.128 0.845 O
0.210 0.459 0.222 O
0.215 0.607 0.678 O
0.328 0.532 0.376 O
0.347 0.142 0.534 O
0.461 0.079 0.220 O
0.462 0.227 0.681 O
0.493 0.546 0.065 O
0.508 0.895 0.749 O
0.518 0.740 0.376 O
0.546 0.865 0.062 O
0.596 0.477 0.677 O
0.723 0.344 0.376 O
0.787 0.844 0.160 O
0.795 0.206 0.855 O
0.812 0.524 0.749 O
0.837 0.191 0.156 O
0.861 0.505 0.065 O
0.882 0.823 0.745 O
0.943 0.351 0.541 O
```

***

Entry 8:
TmMoO4F: computed powder diffraction line list (CuKα), based on a DFT-relaxed cell (GGA+U, the Materials Project).
Peak positions follow from Bragg's law for the DFT cell and can differ from measured ones.

The 6 most intense peaks (2θ from 5° to 70°), sorted by position:
d (Å)  I_rel
6.162  84
3.785  100
3.215  52
3.120  81
3.099  58
2.551  42

Atomic structure:
```
TmMoO4F
1.0
5.215 0.000 0.000
0.000 12.324 0.000
-2.634 0.000 6.104
Tm Mo O F
4 4 16 4
direct
0.139 0.050 0.301 Tm
0.139 0.450 0.801 Tm
0.861 0.550 0.199 Tm
0.861 0.950 0.699 Tm
0.421 0.144 0.870 Mo
0.421 0.356 0.370 Mo
0.579 0.644 0.630 Mo
0.579 0.856 0.130 Mo
0.189 0.064 0.963 O
0.189 0.436 0.463 O
0.258 0.653 0.404 O
0.258 0.847 0.904 O
0.306 0.221 0.295 O
0.306 0.279 0.795 O
0.499 0.069 0.660 O
0.499 0.431 0.160 O
0.501 0.569 0.840 O
0.501 0.931 0.340 O
0.694 0.721 0.205 O
0.694 0.779 0.705 O
0.742 0.153 0.096 O
0.742 0.347 0.596 O
0.811 0.564 0.537 O
0.811 0.936 0.037 O
0.043 0.597 0.964 F
0.043 0.903 0.464 F
0.957 0.097 0.536 F
0.957 0.403 0.036 F
```

***

Entry 9:
Ba2CoRuO6: computed powder diffraction line list (CuKα), based on a DFT-relaxed cell (GGA+U, the Materials Project).
Peak positions follow from Bragg's law for the DFT cell and can differ from measured ones.

The 6 most intense peaks (2θ from 5° to 70°), sorted by position:
d (Å)  I_rel
3.442  27
2.908  100
2.894  55
2.221  21
2.051  34
1.677  41

Atomic structure:
```
Ba2CoRuO6
1.0
5.815 0.000 0.000
-2.908 5.036 0.000
0.000 0.000 14.142
Ba Co Ru O
6 3 3 18
direct
0.000 0.000 0.000 Ba
0.000 0.000 0.315 Ba
0.333 0.667 0.493 Ba
0.333 0.667 0.821 Ba
0.667 0.333 0.162 Ba
0.667 0.333 0.658 Ba
0.333 0.667 0.261 Co
0.667 0.333 0.405 Co
0.667 0.333 0.910 Co
0.000 0.000 0.568 Ru
0.000 0.000 0.748 Ru
0.333 0.667 0.068 Ru
0.008 0.504 0.325 O
0.012 0.506 0.992 O
0.158 0.316 0.659 O
0.158 0.842 0.659 O
0.183 0.366 0.157 O
0.183 0.817 0.157 O
0.323 0.162 0.823 O
0.326 0.163 0.495 O
0.494 0.506 0.992 O
0.494 0.988 0.992 O
0.496 0.504 0.325 O
0.496 0.992 0.325 O
0.634 0.817 0.157 O
0.684 0.842 0.659 O
0.837 0.163 0.495 O
0.837 0.674 0.495 O
0.838 0.162 0.823 O
0.838 0.677 0.823 O
```

***

Q: Which formula does entry 6 have?
A: Na2FeO2